Theoretical X-ray diffraction stick pattern
Compound: BaPm4Fe3O12
Radiation: Cu Kα
Structure: a cell relaxed with PBE+U
Lines closer than 0.1° are merged.

Peak list (6 most intense, 2θ from 10° to 80°, by intensity)
- 30.14 deg, rel. 100
- 53.53 deg, rel. 48
- 43.14 deg, rel. 20
- 71.09 deg, rel. 19
- 62.66 deg, rel. 12
- 21.19 deg, rel. 11

Structural model:
Cell: 7.263 7.263 7.263 Å, 109.47 109.47 109.47°
Positions (direct):
Ba (0.000, 0.000, 0.000)
Pm (0.000, 0.000, 0.500)
Pm (0.000, 0.500, 0.000)
Pm (0.500, 0.000, 0.000)
Pm (0.500, 0.500, 0.500)
Fe (0.000, 0.500, 0.500)
Fe (0.500, 0.000, 0.500)
Fe (0.500, 0.500, 0.000)
O (0.151, 0.482, 0.331)
O (0.151, 0.820, 0.669)
O (0.180, 0.331, 0.849)
O (0.331, 0.151, 0.482)
O (0.331, 0.849, 0.180)
O (0.482, 0.331, 0.151)
O (0.518, 0.669, 0.849)
O (0.669, 0.151, 0.820)
O (0.669, 0.849, 0.518)
O (0.820, 0.669, 0.151)
O (0.849, 0.180, 0.331)
O (0.849, 0.518, 0.669)